Simulated PXRD pattern
Compound: NaNdHf4O12
Radiation: CuKα
Structure: DFT lattice parameters and positions (GGA-PBE)
Neutral-atom scattering factors, no anomalous dispersion.

The 6 most intense peaks (2θ from 10° to 90°), by angle:
2θ 21.6, intensity 332; 2θ 22.1, intensity 653; 2θ 31.0, intensity 1000; 2θ 31.4, intensity 498; 2θ 55.0, intensity 223; 2θ 55.6, intensity 221

Structural model:
a = 8.2406 Å, b = 5.6986 Å, c = 5.6986 Å
α = 90.25°, β = 90.00°, γ = 90.00°
Element x y z (fractional)
1 Na 0.0000 0.0000 0.0000
2 Nd 0.5000 0.4727 0.4727
3 Hf 0.2392 0.4957 0.9831
4 Hf 0.2392 0.9831 0.4957
5 Hf 0.7608 0.4957 0.9831
6 Hf 0.7608 0.9831 0.4957
7 O 0.0000 0.0079 0.4288
8 O 0.0000 0.4288 0.0079
9 O 0.2104 0.7875 0.7875
10 O 0.2815 0.2803 0.6992
11 O 0.2815 0.6992 0.2803
12 O 0.3021 0.2368 0.2368
13 O 0.5000 0.5248 0.9289
14 O 0.5000 0.9289 0.5248
15 O 0.6979 0.2368 0.2368
16 O 0.7185 0.2803 0.6992
17 O 0.7185 0.6992 0.2803
18 O 0.7896 0.7875 0.7875